Structure and computed X-ray diffraction stick pattern of K3GaBr4 (a cell relaxed with GGA-PBE; CuKα).
Kinematic intensities with the Lorentz-polarization factor, no thermal factor.

```
data_K3GaBr4
_space_group_name_H-M_alt 'I 4/m m m'
_space_group_IT_number 139
_space_group_name_Hall '-I 4 2'
_cell_length_a 6.6020
_cell_length_b 6.6020
_cell_length_c 13.2220
_cell_angle_alpha 90.00
_cell_angle_beta 90.00
_cell_angle_gamma 90.00
loop_
_atom_site_label
_atom_site_type_symbol
_atom_site_fract_x
_atom_site_fract_y
_atom_site_fract_z
K1 K 0.0000 0.0000 0.0000
K2 K 0.0000 0.5000 0.2500
Ga1 Ga 0.0000 0.0000 0.5000
Br1 Br 0.0000 0.0000 0.2583
Br2 Br 0.0000 0.5000 0.0000
```

Top 10 peaks for 2θ from 15° to 90°, by angle:
23.33°, I 12, hkl 1 1 2; 27.00°, I 100, hkl 2 0 0; 38.55°, I 74, hkl 2 2 0; 47.70°, I 26, hkl 2 2 4; 55.66°, I 12, hkl 4 0 0; 62.93°, I 32, hkl 4 2 0; 69.75°, I 24, hkl 4 2 4; 82.64°, I 7, hkl 4 4 0; 88.88°, I 9, hkl 4 2 8; 88.94°, I 6, hkl 6 0 0

Structure and computed X-ray diffraction stick pattern of K2NaGaBr6 (a cell relaxed with GGA-PBE; CuKα).
Kinematic intensities with the Lorentz-polarization factor, no thermal factor.

```
data_K2NaGaBr6
_space_group_name_H-M_alt 'P -3 m 1'
_space_group_IT_number 164
_space_group_name_Hall '-P 3 2"'
_cell_length_a 7.5289
_cell_length_b 7.5289
_cell_length_c 7.1712
_cell_angle_alpha 90.00
_cell_angle_beta 90.00
_cell_angle_gamma 120.00
loop_
_atom_site_label
_atom_site_type_symbol
_atom_site_fract_x
_atom_site_fract_y
_atom_site_fract_z
K1 K 0.3333 0.6667 0.3504
Na1 Na 0.0000 0.0000 0.0000
Ga1 Ga 0.0000 0.0000 0.5000
Br1 Br 0.1611 0.3222 0.7102
```

Top 10 peaks for 2θ from 15° to 90°, by angle:
18.39°, I 11, hkl 0 1 1; 24.83°, I 16, hkl 0 0 2; 27.36°, I 10, hkl 2 0 0; 30.11°, I 100, hkl 2 0 1; 34.55°, I 14, hkl 1 1 2; 37.28°, I 45, hkl 0 2 2; 47.15°, I 19, hkl 2 0 3; 48.36°, I 26, hkl 2 2 0; 58.03°, I 14, hkl 0 4 1; 78.81°, I 11, hkl 4 2 1

Structure and computed X-ray diffraction stick pattern of K2TiGaBr6 (a cell relaxed with GGA-PBE; CuKα).
Kinematic intensities with the Lorentz-polarization factor, no thermal factor.

```
data_K2TiGaBr6
_space_group_name_H-M_alt 'R 3'
_space_group_IT_number 146
_space_group_name_Hall 'R 3'
_cell_length_a 7.8299
_cell_length_b 7.8299
_cell_length_c 19.1736
_cell_angle_alpha 90.00
_cell_angle_beta 90.00
_cell_angle_gamma 120.00
loop_
_atom_site_label
_atom_site_type_symbol
_atom_site_fract_x
_atom_site_fract_y
_atom_site_fract_z
K1 K 0.0000 0.0000 0.0000
K2 K 0.0000 0.0000 0.4929
Ti1 Ti 0.0000 0.0000 0.7745
Ga1 Ga 0.0000 0.0000 0.2691
Br1 Br 0.0358 0.6021 0.5221
Br2 Br 0.1000 0.3632 0.3656
```

Top 10 peaks for 2θ from 15° to 90°, by angle:
16.01°, I 54, hkl 0 1 2; 26.70°, I 100, hkl 2 -1 3; 27.92°, I 60, hkl 0 0 6; 32.34°, I 77, hkl 0 2 4; 35.33°, I 36, hkl 3 -1 1; 36.29°, I 45, hkl 1 1 6; 39.89°, I 36, hkl 3 0 0; 46.39°, I 29, hkl 2 0 8; 48.65°, I 50, hkl 4 -3 1; 62.80°, I 29, hkl 5 -2 4

Structure and computed X-ray diffraction stick pattern of La10Ga5Br4 (a cell relaxed with GGA-PBE; CuKα).
Kinematic intensities with the Lorentz-polarization factor, no thermal factor.

```
data_La10Ga5Br4
_space_group_name_H-M_alt 'I 4/m c m'
_space_group_IT_number 140
_space_group_name_Hall '-I 4 2c'
_cell_length_a 8.2092
_cell_length_b 8.2092
_cell_length_c 32.7815
_cell_angle_alpha 90.00
_cell_angle_beta 90.00
_cell_angle_gamma 90.00
loop_
_atom_site_label
_atom_site_type_symbol
_atom_site_fract_x
_atom_site_fract_y
_atom_site_fract_z
La1 La 0.0000 0.0000 0.1549
La2 La 0.1672 0.3328 0.2034
La3 La 0.1706 0.3294 0.0741
Ga1 Ga 0.0000 0.0000 0.2500
Ga2 Ga 0.1229 0.3771 0.3647
Br1 Br 0.0000 0.0000 0.0574
Br2 Br 0.1447 0.3553 0.5000
```

Top 10 peaks for 2θ from 15° to 90°, by angle:
30.81°, I 19, hkl 2 2 0; 30.95°, I 100, hkl 2 1 7; 31.34°, I 14, hkl 1 1 10; 34.55°, I 52, hkl 3 1 0; 35.03°, I 19, hkl 2 0 10; 38.44°, I 11, hkl 0 0 14; 49.73°, I 24, hkl 4 1 7; 52.63°, I 16, hkl 3 1 14; 55.12°, I 10, hkl 3 3 10; 64.24°, I 16, hkl 4 4 0

Structure and computed X-ray diffraction stick pattern of La3Ga2Br2 (a cell relaxed with GGA-PBE; CuKα).
Kinematic intensities with the Lorentz-polarization factor, no thermal factor.

```
data_La3Ga2Br2
_space_group_name_H-M_alt 'C 1 2/m 1'
_space_group_IT_number 12
_space_group_name_Hall '-C 2y'
_cell_length_a 11.1528
_cell_length_b 4.2178
_cell_length_c 9.4667
_cell_angle_alpha 90.00
_cell_angle_beta 107.37
_cell_angle_gamma 90.00
loop_
_atom_site_label
_atom_site_type_symbol
_atom_site_fract_x
_atom_site_fract_y
_atom_site_fract_z
La1 La 0.0000 0.0000 0.0000
La2 La 0.2020 0.0000 0.7098
Ga1 Ga 0.1884 0.5000 0.9396
Br1 Br 0.0999 0.0000 0.3554
```

Top 10 peaks for 2θ from 15° to 90°, by angle:
22.68°, I 40, hkl 1 1 0; 29.51°, I 18, hkl 2 0 2; 29.66°, I 33, hkl 0 0 3; 32.16°, I 100, hkl 3 1 -1; 35.53°, I 58, hkl 1 1 -3; 42.59°, I 43, hkl 3 1 2; 42.88°, I 22, hkl 0 2 0; 44.17°, I 19, hkl 4 0 -4; 54.56°, I 13, hkl 4 2 -1; 62.34°, I 14, hkl 7 1 -2

Structure and computed X-ray diffraction stick pattern of LiGa2Br (a cell relaxed with GGA-PBE; CuKα).
Kinematic intensities with the Lorentz-polarization factor, no thermal factor.

```
data_LiGa2Br
_space_group_name_H-M_alt 'P 1'
_space_group_IT_number 1
_space_group_name_Hall 'P 1'
_cell_length_a 3.9717
_cell_length_b 3.9752
_cell_length_c 13.7844
_cell_angle_alpha 94.75
_cell_angle_beta 94.62
_cell_angle_gamma 90.02
loop_
_atom_site_label
_atom_site_type_symbol
_atom_site_fract_x
_atom_site_fract_y
_atom_site_fract_z
Li1 Li 0.0000 0.0000 0.0000
Li2 Li 0.4997 0.4999 0.0003
Ga1 Ga 0.2011 0.1160 0.4134
Ga2 Ga 0.2464 0.6639 0.5852
Ga3 Ga 0.7014 0.6159 0.4135
Ga4 Ga 0.7462 0.1637 0.5852
Br1 Br 0.5301 0.0309 0.1074
Br2 Br 0.9697 0.4692 0.8930
```

Top 10 peaks for 2θ from 15° to 90°, by angle:
25.04°, I 56, hkl 1 0 -2; 26.03°, I 100, hkl 0 0 4; 26.92°, I 55, hkl 1 0 2; 32.52°, I 45, hkl 1 -1 1; 34.50°, I 72, hkl -1 1 2; 36.14°, I 48, hkl 1 1 2; 37.59°, I 78, hkl -1 1 3; 39.49°, I 53, hkl 0 0 6; 41.57°, I 55, hkl 1 -1 4; 45.77°, I 97, hkl 2 0 -1